Record 1
Diffraction record for Tb2Pr3Sm3. The powder X-ray diffraction pattern is simulated, not measured: it uses DFT lattice parameters and positions (PBE) and Cu Kα X-rays.
Lines closer than 0.1° are merged.

```
16
Lattice="5.8820 0.0000 0.0000 0.0000 14.7422 0.0000 -0.0063 0.0000 6.3742" Properties=species:S:1:pos:R:3 pbc="T T T"
Tb 1.4702 1.8552 1.0397
Tb 1.4702 5.5159 1.0397
Tb 4.4055 9.2263 5.3345
Tb 4.4055 12.8870 5.3345
Pr 1.4652 0.0018 4.2580
Pr 1.4652 7.3693 4.2580
Pr 1.4663 11.0566 4.2696
Pr 4.4105 14.7403 2.1162
Pr 4.4093 3.6855 2.1046
Pr 4.4105 7.3729 2.1162
Sm 1.4677 3.6855 4.2263
Sm 1.4681 9.2214 1.0686
Sm 1.4681 12.8919 1.0686
Sm 4.4076 1.8503 5.3056
Sm 4.4076 5.5208 5.3056
Sm 4.4080 11.0566 2.1479
```

Top 8 peaks for 2θ from 10° to 80°, in order of rising 2θ:
2θ = 28.0°, I = 23.5
2θ = 30.4°, I = 25.3
2θ = 31.9°, I = 100.0
2θ = 41.8°, I = 16.0
2θ = 49.5°, I = 19.6
2θ = 55.0°, I = 21.5
2θ = 59.2°, I = 22.9
2θ = 60.1°, I = 16.4

---

Record 2
Diffraction record for Tb4Pr2Sm7. The powder X-ray diffraction pattern is simulated, not measured: it uses DFT lattice parameters and positions (PBE) and Cu Kα X-rays.
Lines closer than 0.1° are merged.

```
13
Lattice="6.1942 0.0000 0.0000 -3.0971 5.3643 0.0000 0.0000 0.0000 13.3238" Properties=species:S:1:pos:R:3 pbc="T T T"
Tb 0.0000 0.0000 1.4173
Tb 0.0000 0.0000 11.9065
Tb 0.0000 3.5762 0.0000
Tb 3.0971 1.7881 0.0000
Pr 0.0000 3.5762 6.6619
Pr 3.0971 1.7881 6.6619
Sm 0.0000 0.0000 6.6619
Sm -1.1328 1.9620 9.6198
Sm -1.9643 3.4023 3.7039
Sm 2.2655 0.0000 9.6198
Sm 1.1328 1.9620 3.7039
Sm 3.9287 0.0000 3.7039
Sm 1.9643 3.4023 9.6198
```

Top 8 peaks for 2θ from 10° to 80°, in order of rising 2θ:
2θ = 26.8°, I = 22.1
2θ = 28.8°, I = 16.4
2θ = 29.6°, I = 44.6
2θ = 31.6°, I = 16.6
2θ = 31.9°, I = 100.0
2θ = 35.3°, I = 30.6
2θ = 50.6°, I = 17.3
2θ = 51.1°, I = 29.1

---

Record 3
Diffraction record for TbPr5Sm5. The powder X-ray diffraction pattern is simulated, not measured: it uses DFT lattice parameters and positions (PBE) and Cu Kα X-rays.
Lines closer than 0.1° are merged.

```
11
Lattice="9.6181 -3.0702 0.0000 9.6181 3.0702 0.0000 -2.6093 0.0000 6.5980" Properties=species:S:1:pos:R:3 pbc="T T T"
Tb 0.0000 0.0000 0.0000
Pr 2.2643 0.0000 2.7626
Pr 0.9304 0.0000 6.1413
Pr 9.6181 0.0000 0.0000
Pr 15.6964 0.0000 0.4567
Pr 14.3625 0.0000 3.8354
Sm -1.3046 0.0000 3.2990
Sm 4.1889 0.0000 5.4741
Sm 6.2466 0.0000 2.4751
Sm 10.3802 0.0000 4.1229
Sm 12.4379 0.0000 1.1239
```

Top 8 peaks for 2θ from 10° to 80°, in order of rising 2θ:
2θ = 27.0°, I = 21.0
2θ = 29.1°, I = 58.8
2θ = 29.5°, I = 17.6
2θ = 30.0°, I = 34.3
2θ = 32.8°, I = 100.0
2θ = 42.3°, I = 27.1
2θ = 54.0°, I = 24.4
2θ = 60.3°, I = 22.3

---

Record 4
Diffraction record for Tb2Pr2Sm. The powder X-ray diffraction pattern is simulated, not measured: it uses DFT lattice parameters and positions (PBE) and Cu Kα X-rays.
Lines closer than 0.1° are merged.

```
10
Lattice="8.0498 -3.1852 0.0000 8.0498 3.1852 0.0000 -1.7468 0.0000 6.6942" Properties=species:S:1:pos:R:3 pbc="T T T"
Tb 0.7867 0.5216 3.0166
Tb -0.0866 -0.5216 6.3637
Tb 14.4394 0.5216 0.3305
Tb 13.5660 -0.5216 3.6776
Pr 3.3477 0.5342 5.6901
Pr 4.2211 -0.5342 2.3430
Pr 10.1316 0.5342 4.3512
Pr 11.0050 -0.5342 1.0041
Sm 7.6131 0.5304 1.6735
Sm 6.7397 -0.5304 5.0206
```

Top 8 peaks for 2θ from 10° to 80°, in order of rising 2θ:
2θ = 28.0°, I = 23.5
2θ = 30.5°, I = 25.1
2θ = 32.0°, I = 100.0
2θ = 41.9°, I = 15.9
2θ = 49.6°, I = 19.6
2θ = 55.2°, I = 21.3
2θ = 59.3°, I = 22.8
2θ = 60.2°, I = 16.4

---

Record 5
Diffraction record for TbPr8Sm6. The powder X-ray diffraction pattern is simulated, not measured: it uses DFT lattice parameters and positions (PBE) and Cu Kα X-rays.
Lines closer than 0.1° are merged.

```
15
Lattice="4.9975 2.8853 6.0756 -4.9975 2.8853 6.0756 0.0000 -5.7707 6.0756" Properties=species:S:1:pos:R:3 pbc="T T T"
Tb 0.0000 0.0000 0.0000
Pr -3.5149 -1.2873 9.0488
Pr -0.6426 -3.6876 9.1779
Pr -2.8723 2.4003 9.1779
Pr 0.0000 0.0000 7.5455
Pr 0.0000 0.0000 10.6813
Pr 2.8723 -2.4003 9.0488
Pr 0.6426 3.6876 9.0488
Pr 3.5149 1.2874 9.1779
Sm -2.6444 0.3568 5.9072
Sm 1.0132 -2.4686 5.9072
Sm -1.6313 -2.1117 12.3195
Sm 1.6313 2.1117 5.9072
Sm -1.0132 2.4686 12.3195
Sm 2.6444 -0.3569 12.3195
```

Top 8 peaks for 2θ from 10° to 80°, in order of rising 2θ:
2θ = 29.0°, I = 100.0
2θ = 29.4°, I = 23.4
2θ = 33.7°, I = 50.1
2θ = 34.4°, I = 19.0
2θ = 34.6°, I = 15.3
2θ = 48.2°, I = 19.9
2θ = 48.7°, I = 16.5
2θ = 57.9°, I = 12.9

---

Record 6
Diffraction record for TbPr2Sm3. The powder X-ray diffraction pattern is simulated, not measured: it uses DFT lattice parameters and positions (PBE) and Cu Kα X-rays.
Lines closer than 0.1° are merged.

```
12
Lattice="6.3400 0.0000 0.0000 -3.1700 5.4906 0.0000 0.0000 0.0000 11.8010" Properties=species:S:1:pos:R:3 pbc="T T T"
Tb 0.0000 0.0000 0.0000
Tb 0.0000 0.0000 5.9005
Pr 0.0000 3.6604 0.0000
Pr 0.0000 3.6604 5.9005
Pr 3.1700 1.8302 0.0000
Pr 3.1700 1.8302 5.9005
Sm -1.0473 1.8139 2.9503
Sm -2.1228 3.6767 8.8508
Sm 2.0945 0.0000 2.9503
Sm 1.0473 1.8139 8.8508
Sm 4.2455 0.0000 8.8508
Sm 2.1228 3.6767 2.9503
```

Top 8 peaks for 2θ from 10° to 80°, in order of rising 2θ:
2θ = 29.2°, I = 43.6
2θ = 30.3°, I = 34.6
2θ = 32.1°, I = 100.0
2θ = 36.4°, I = 24.2
2θ = 49.8°, I = 26.0
2θ = 54.9°, I = 21.7
2θ = 59.4°, I = 30.6
2θ = 60.5°, I = 16.2

---

Record 7
Diffraction record for TbPr5Sm7. The powder X-ray diffraction pattern is simulated, not measured: it uses DFT lattice parameters and positions (PBE) and Cu Kα X-rays.
Lines closer than 0.1° are merged.

```
13
Lattice="-3.4519 5.5900 5.9762 3.4519 -5.5900 5.9762 3.4519 5.5900 -5.9762" Properties=species:S:1:pos:R:3 pbc="T T T"
Tb 0.0000 0.0000 0.0000
Pr 1.5650 2.5057 -2.2758
Pr 5.3389 2.5057 -2.2758
Pr -1.8870 3.0843 3.7004
Pr 1.8870 3.0843 3.7004
Pr 0.0000 5.5900 3.1516
Sm 3.4519 1.8780 0.5656
Sm 3.4519 0.0000 3.4934
Sm 0.0000 0.0000 3.6086
Sm 0.0000 3.5597 0.5877
Sm 0.0000 0.0000 7.2137
Sm 0.0000 7.6203 0.5877
Sm 0.0000 3.7119 6.5418
```

Top 8 peaks for 2θ from 10° to 80°, in order of rising 2θ:
2θ = 25.8°, I = 26.1
2θ = 27.2°, I = 29.0
2θ = 29.9°, I = 100.0
2θ = 30.4°, I = 53.3
2θ = 31.1°, I = 80.7
2θ = 34.0°, I = 76.4
2θ = 55.8°, I = 24.8
2θ = 56.1°, I = 29.8

---

Record 8
Diffraction record for Tb7Pr12Sm2. The powder X-ray diffraction pattern is simulated, not measured: it uses DFT lattice parameters and positions (PBE) and Cu Kα X-rays.
Lines closer than 0.1° are merged.

```
21
Lattice="15.2496 0.0000 0.0000 -7.6248 13.2066 0.0000 0.0000 0.0000 3.6145" Properties=species:S:1:pos:R:3 pbc="T T T"
Tb 0.0000 0.0000 0.0000
Tb -3.1973 9.3966 1.8073
Tb 1.0857 5.7393 1.8073
Tb 5.4889 1.9094 0.0000
Tb 2.1116 11.2772 1.8073
Tb 6.5340 7.4983 0.0000
Tb 10.8516 3.7988 0.0000
Pr -0.8453 3.3354 0.0000
Pr -2.3191 6.1379 1.8073
Pr -4.3136 12.2709 0.0000
Pr 2.2968 2.2658 1.8073
Pr -1.1496 12.1460 1.8073
Pr 4.1494 4.9939 0.0000
Pr 3.4687 8.1292 1.8073
Pr 8.8500 1.0965 0.0000
Pr 5.1589 10.8068 0.0000
Pr 12.1390 0.8562 1.8073
Pr 9.8750 7.1161 0.0000
Pr 8.4386 10.0845 1.8073
Sm 0.0000 8.8044 0.0000
Sm 7.6248 4.4022 1.8073
```

Top 8 peaks for 2θ from 10° to 80°, in order of rising 2θ:
2θ = 30.5°, I = 77.2
2θ = 31.0°, I = 100.0
2θ = 34.9°, I = 11.6
2θ = 44.1°, I = 22.1
2θ = 54.9°, I = 23.4
2θ = 55.2°, I = 16.7
2θ = 60.5°, I = 31.6
2θ = 78.1°, I = 13.6

---

Record 9
Diffraction record for Tb3PrSm4. The powder X-ray diffraction pattern is simulated, not measured: it uses DFT lattice parameters and positions (PBE) and Cu Kα X-rays.
Lines closer than 0.1° are merged.

```
16
Lattice="10.2012 0.0000 0.0000 0.0000 7.2340 0.0000 0.0000 0.0000 7.2294" Properties=species:S:1:pos:R:3 pbc="T T T"
Tb 0.0000 0.0000 0.0000
Tb 2.5503 1.7942 1.8073
Tb 2.5503 5.4398 5.4220
Tb 5.1006 0.0000 3.6147
Tb 7.6509 1.7942 1.8073
Tb 7.6509 5.4398 5.4220
Pr 0.0000 3.6170 3.6147
Pr 5.1006 3.6170 0.0000
Sm 0.0000 0.0000 3.6147
Sm 0.0000 3.6170 0.0000
Sm 2.5503 1.7938 5.4220
Sm 2.5503 5.4402 1.8073
Sm 5.1006 0.0000 0.0000
Sm 5.1006 3.6170 3.6147
Sm 7.6509 1.7938 5.4220
Sm 7.6509 5.4402 1.8073
```

Top 8 peaks for 2θ from 10° to 80°, in order of rising 2θ:
2θ = 30.3°, I = 100.0
2θ = 35.1°, I = 50.7
2θ = 50.5°, I = 36.2
2θ = 60.0°, I = 28.8
2θ = 60.1°, I = 14.3
2θ = 63.0°, I = 12.4
2θ = 74.2°, I = 3.8
2θ = 74.4°, I = 1.9

---

Record 10
Diffraction record for Tb5Pr3Sm. The powder X-ray diffraction pattern is simulated, not measured: it uses DFT lattice parameters and positions (PBE) and Cu Kα X-rays.
Lines closer than 0.1° are merged.

```
18
Lattice="7.7390 -5.7316 0.0000 7.7390 5.7316 0.0000 -6.4713 0.0000 7.6531" Properties=species:S:1:pos:R:3 pbc="T T T"
Tb 3.7328 2.8635 1.9110
Tb 1.9565 0.0000 1.7127
Tb 7.7390 2.9362 0.0000
Tb -1.9249 0.0000 7.3287
Tb 5.2740 2.8635 5.7421
Tb 3.7328 -2.8635 1.9110
Tb 10.9317 0.0000 0.3244
Tb 7.7390 -2.9362 0.0000
Tb 7.0503 0.0000 5.9404
Tb 5.2740 -2.8635 5.7421
Pr -3.2356 0.0000 3.8266
Pr -5.1425 0.0000 6.2063
Pr 3.2541 0.0000 4.9022
Pr 7.7390 0.0000 0.0000
Pr 5.7527 0.0000 2.7509
Pr 14.1493 0.0000 1.4468
Sm 0.0768 0.0000 4.5503
Sm 8.9300 0.0000 3.1028
```

Top 8 peaks for 2θ from 10° to 80°, in order of rising 2θ:
2θ = 15.5°, I = 36.4
2θ = 28.1°, I = 27.4
2θ = 28.9°, I = 57.2
2θ = 31.2°, I = 70.3
2θ = 31.7°, I = 100.0
2θ = 34.1°, I = 45.0
2θ = 38.9°, I = 61.1
2θ = 50.7°, I = 25.4

---

Record 11
Diffraction record for Tb12Pr5Sm. The powder X-ray diffraction pattern is simulated, not measured: it uses DFT lattice parameters and positions (PBE) and Cu Kα X-rays.
Lines closer than 0.1° are merged.

```
18
Lattice="5.7507 -8.7197 0.0000 5.7507 8.7197 0.0000 -0.0024 0.0000 6.0171" Properties=species:S:1:pos:R:3 pbc="T T T"
Tb 2.0440 2.9015 0.3156
Tb 3.6983 2.9081 3.3251
Tb 2.0514 0.0000 2.6628
Tb 3.6723 0.0000 5.6739
Tb 2.0440 -2.9015 0.3156
Tb 3.6983 -2.9081 3.3251
Tb 7.8006 2.9081 2.6920
Tb 9.4549 2.9015 5.7015
Tb 7.8266 0.0000 0.3431
Tb 9.4475 0.0000 3.3543
Tb 7.8006 -2.9081 2.6920
Tb 9.4549 -2.9015 5.7015
Pr 5.7494 5.8351 3.0085
Pr 5.7507 2.8915 0.0000
Pr 5.7494 0.0000 3.0085
Pr 5.7507 -2.8915 0.0000
Pr 5.7494 -5.8351 3.0085
Sm 0.0000 0.0000 0.0000
```

Top 8 peaks for 2θ from 10° to 80°, in order of rising 2θ:
2θ = 29.7°, I = 23.8
2θ = 30.8°, I = 30.2
2θ = 31.7°, I = 100.0
2θ = 34.5°, I = 13.6
2θ = 43.3°, I = 17.1
2θ = 54.0°, I = 11.0
2θ = 55.3°, I = 20.7
2θ = 57.6°, I = 8.9

---

Record 12
Diffraction record for Tb4Pr3Sm8. The powder X-ray diffraction pattern is simulated, not measured: it uses DFT lattice parameters and positions (PBE) and Cu Kα X-rays.
Lines closer than 0.1° are merged.

```
15
Lattice="7.0187 -6.1172 0.0000 7.0187 6.1172 0.0000 -3.3935 0.0000 6.0328" Properties=species:S:1:pos:R:3 pbc="T T T"
Tb 0.0000 0.0000 0.0000
Tb -1.6968 0.0000 3.0164
Tb 3.5094 3.0586 0.0000
Tb 3.5094 -3.0586 0.0000
Pr 1.8126 3.0586 3.0164
Pr 1.8126 -3.0586 3.0164
Pr 5.3220 0.0000 3.0164
Sm 2.6195 0.0000 1.5168
Sm 5.3220 3.0872 3.0164
Sm 1.4319 0.0000 4.8312
Sm 7.0187 2.4952 0.0000
Sm 7.0187 -2.4952 0.0000
Sm 9.2120 0.0000 1.2016
Sm 5.3220 -3.0872 3.0164
Sm 8.0245 0.0000 4.5160
```

Top 8 peaks for 2θ from 10° to 80°, in order of rising 2θ:
2θ = 25.7°, I = 17.0
2θ = 29.2°, I = 100.0
2θ = 29.7°, I = 52.0
2θ = 33.2°, I = 49.1
2θ = 39.0°, I = 13.5
2θ = 41.8°, I = 31.1
2θ = 42.1°, I = 21.0
2θ = 61.5°, I = 17.1